For GaPt3, a crystal structure in the Materials Project, relaxed with PBE gives the computed powder XRD pattern in this record (Cu Kα, 1.54184 Å).
Lines closer than 0.1° are merged.

Cell and atoms:
```
GaPt3
1.0
5.549 0.000 0.000
0.000 5.549 0.000
0.000 0.000 7.964
Ga Pt
4 12
Cartesian
0.000 2.774 1.958
0.000 2.774 6.006
2.774 0.000 1.958
2.774 0.000 6.006
0.000 0.000 2.002
0.000 0.000 5.962
1.172 1.602 3.982
1.254 4.028 0.000
1.521 1.254 0.000
1.602 4.376 3.982
2.774 2.774 2.002
2.774 2.774 5.962
3.947 1.172 3.982
4.028 4.295 0.000
4.295 1.521 0.000
4.376 3.947 3.982
```

Top 8 peaks for 2θ from 10° to 90°, sorted by position:
Position (°2θ), intensity, index
37.98, 12, 2 1 1
39.59, 100, 2 0 2
45.56, 19, 0 0 4
46.28, 29, 2 2 0
66.97, 20, 2 2 4
80.16, 13, 2 0 6
81.21, 17, 4 2 2
85.27, 8, 4 0 4